[1]
Simulated powder diffraction line list of Y7Co6Sn23 for λ = 1.5418 Å (Cu Kα), from a cell relaxed with PBE.
Lines closer than 0.1° are merged.

Largest 8 diffraction maxima, in order of falling intensity, 10° ≤ 2θ ≤ 90°:
index, 2theta, I/Imax
0 3 1, 31.59, 100
3 0 2, 34.81, 60
3 3 0, 54.11, 32
2 1 3, 36.81, 24
2 0 3, 32.16, 20
2 0 1, 21.80, 19
1 0 2, 19.31, 16
2 3 4, 56.97, 13

Atomic structure:
Lattice parameters (Å, degrees): 10.1694 10.1694 10.7762 90.00 90.00 120.00
Space group P-3m1 (No. 164)
One atom of each set of equivalent atoms:
Y: 0.0000 0.0000 0.0000
Y: 0.0556 0.5278 0.2941
Co: 0.1963 0.3927 0.1476
Sn: 0.0000 0.0000 0.5000
Sn: 0.0000 0.3466 0.0000
Sn: 0.1084 0.2167 0.3081
Sn: 0.2287 0.4573 0.5558
Sn: 0.3333 0.6667 0.0978
Sn: 0.3333 0.6667 0.7934

[2]
Simulated powder diffraction line list of PrNdTe4 for λ = 1.5418 Å (Cu Kα), from a cell relaxed with PBE.
Lines closer than 0.1° are merged.

Largest 8 diffraction maxima, in order of falling intensity, 10° ≤ 2θ ≤ 90°:
index, 2theta, I/Imax
1 1 1, 29.60, 100
1 1 2, 34.17, 96
2 0 0, 39.91, 65
1 0 3, 35.38, 52
0 0 3, 29.12, 39
2 0 3, 50.16, 34
2 1 3, 54.38, 30
3 1 2, 68.81, 25

Atomic structure:
Lattice parameters (Å, degrees): 4.5179 4.5179 9.1990 90.00 90.00 90.00
Space group P4mm (No. 99)
One atom of each set of equivalent atoms:
Pr: 0.0000 0.0000 0.0000
Nd: 0.5000 0.5000 0.4567
Te: 0.0000 0.0000 0.3600
Te: 0.0000 0.5000 0.7272
Te: 0.5000 0.5000 0.0990

[3]
Simulated powder diffraction line list of Sm2Si2AgAu for λ = 1.5418 Å (Cu Kα), from a cell relaxed with PBE.
Lines closer than 0.1° are merged.

Largest 8 diffraction maxima, in order of falling intensity, 10° ≤ 2θ ≤ 90°:
index, 2theta, I/Imax
1 0 2, 33.09, 100
1 1 0, 40.85, 53
1 0 1, 26.03, 39
0 2 2, 53.54, 28
1 1 4, 64.38, 26
2 1 2, 69.47, 25
1 0 3, 42.57, 14
0 0 4, 47.48, 13

Atomic structure:
Lattice parameters (Å, degrees): 4.4185 4.4185 7.6604 90.00 90.00 120.00
Space group P3m1 (No. 156)
One atom of each set of equivalent atoms:
Sm: 0.0000 0.0000 0.0000
Sm: 0.0000 0.0000 0.4991
Si: 0.3333 0.6667 0.7203
Si: 0.6667 0.3333 0.2190
Ag: 0.6667 0.3333 0.7662
Au: 0.3333 0.6667 0.2644

[4]
Simulated powder diffraction line list of HoAg6Au for λ = 1.5418 Å (Cu Kα), from a cell relaxed with PBE.
Lines closer than 0.1° are merged.

Largest 8 diffraction maxima, in order of falling intensity, 10° ≤ 2θ ≤ 90°:
index, 2theta, I/Imax
1 2 1, 39.33, 100
1 0 2, 39.54, 54
2 0 0, 36.59, 43
0 2 1, 34.63, 27
2 2 3, 74.54, 19
3 2 1, 67.71, 19
2 2 1, 51.27, 17
0 2 3, 62.37, 17

Atomic structure:
Lattice parameters (Å, degrees): 4.9115 5.9943 5.1460 90.00 90.00 90.00
Space group Pmm2 (No. 25)
One atom of each set of equivalent atoms:
Ho: 0.0000 0.0000 0.0000
Ag: 0.0000 0.2618 0.4992
Ag: 0.0000 0.5000 0.9982
Ag: 0.5000 0.0000 0.6531
Ag: 0.5000 0.2580 0.1767
Au: 0.5000 0.5000 0.6850

Repeat the second record exactly.
Simulated powder diffraction line list of PrNdTe4 for λ = 1.5418 Å (Cu Kα), from a cell relaxed with PBE.
Lines closer than 0.1° are merged.

Largest 8 diffraction maxima, in order of falling intensity, 10° ≤ 2θ ≤ 90°:
index, 2theta, I/Imax
1 1 1, 29.60, 100
1 1 2, 34.17, 96
2 0 0, 39.91, 65
1 0 3, 35.38, 52
0 0 3, 29.12, 39
2 0 3, 50.16, 34
2 1 3, 54.38, 30
3 1 2, 68.81, 25

Atomic structure:
Lattice parameters (Å, degrees): 4.5179 4.5179 9.1990 90.00 90.00 90.00
Space group P4mm (No. 99)
One atom of each set of equivalent atoms:
Pr: 0.0000 0.0000 0.0000
Nd: 0.5000 0.5000 0.4567
Te: 0.0000 0.0000 0.3600
Te: 0.0000 0.5000 0.7272
Te: 0.5000 0.5000 0.0990